1.
This entry pairs a crystal structure of TbYHf with its computed powder X-ray diffraction pattern. Radiation: Cu Ka. Structure: a cell relaxed with PBE.
Neutral-atom scattering factors, no anomalous dispersion.

Crystal structure
Cell lengths 3.7357, 3.7357, 12.6343 Å; angles 90.00, 90.00, 90.00 degrees
Space group P4/nmm (No. 129, origin choice 2)
One atom of each set of equivalent atoms:
1 Tb 0.2500 0.2500 0.0923
2 Y 0.2500 0.2500 0.7072
3 Hf 0.2500 0.2500 0.4490

Peak list (10 most intense, 5° ≤ 2θ ≤ 70°, by angle)
| two_theta | I (rel.) |
| --- | --- |
| 7.0 | 21 |
| 14.0 | 21 |
| 32.0 | 100 |
| 33.9 | 59 |
| 37.3 | 9 |
| 43.2 | 13 |
| 48.8 | 21 |
| 49.9 | 12 |
| 59.5 | 34 |
| 64.0 | 11 |

2.
This entry pairs a crystal structure of KPd3O4 with its computed powder X-ray diffraction pattern. Radiation: Cu Ka. Structure: a cell relaxed with PBE.
Neutral-atom scattering factors, no anomalous dispersion.

Crystal structure
Cell lengths 5.8709, 5.8709, 5.8709 Å; angles 90.00, 90.00, 90.00 degrees
Space group Pm-3n (No. 223)
One atom of each set of equivalent atoms:
1 K 0.0000 0.0000 0.0000
2 Pd 0.0000 0.2500 0.5000
3 O 0.2500 0.2500 0.2500

Peak list (10 most intense, 5° ≤ 2θ ≤ 70°, by angle)
| two_theta | I (rel.) |
| --- | --- |
| 21.4 | 16 |
| 30.5 | 5 |
| 34.1 | 100 |
| 37.5 | 36 |
| 49.1 | 4 |
| 54.1 | 22 |
| 56.5 | 23 |
| 58.9 | 18 |
| 63.4 | 15 |
| 67.7 | 2 |

3.
This entry pairs a crystal structure of Dy4InHg7 with its computed powder X-ray diffraction pattern. Radiation: Cu Ka. Structure: a cell relaxed with PBE.
Neutral-atom scattering factors, no anomalous dispersion.

Crystal structure
Cell lengths 12.8922, 5.3917, 10.8721 Å; angles 90.00, 121.30, 90.00 degrees
Space group C2/m (No. 12)
One atom of each set of equivalent atoms:
1 Dy 0.0821 0.0000 0.2764
2 Dy 0.2386 0.0000 0.8222
3 In 0.0000 0.5000 0.5000
4 Hg 0.0000 0.0000 0.5000
5 Hg 0.0735 0.5000 0.8454
6 Hg 0.1378 0.0000 0.0349
7 Hg 0.1989 0.5000 0.4154

Peak list (10 most intense, 5° ≤ 2θ ≤ 70°, by angle)
| two_theta | I (rel.) |
| --- | --- |
| 28.6 | 18 |
| 30.2 | 60 |
| 33.2 | 93 |
| 34.8 | 100 |
| 39.0 | 57 |
| 39.5 | 19 |
| 45.5 | 40 |
| 53.6 | 16 |
| 60.4 | 21 |
| 63.3 | 16 |